# 1
The following is a simulated PXRD pattern of TcPt3. It was derived from a PBE-relaxed structure, using a wavelength of 1.5418 Å.

The 10 most intense peaks (2θ = 10–90°), low angle first:
2theta  d/Å  intensity  h k l
39.58  2.277  100.0  2 0 -2
39.69  2.271  99.3  1 1 1
45.72  1.984  33.0  2 0 2
46.27  1.962  64.6  3 1 -1
67.02  1.396  21.3  1 1 -3
67.15  1.394  21.0  5 1 1
80.46  1.194  18.9  3 1 3
81.05  1.186  12.8  5 1 -3
81.17  1.185  12.7  7 1 -1
81.32  1.183  25.3  2 2 -2

Structure:
```
data_TcPt3
_cell_length_a 9.2283
_cell_length_b 2.7694
_cell_length_c 4.8515
_cell_angle_alpha 90.00
_cell_angle_beta 99.63
_cell_angle_gamma 90.00
_space_group_name_H-M_alt 'C 1 2/m 1'
_space_group_IT_number 12
loop_
_space_group_symop_operation_xyz
'x,y,z'
'-x,-y,-z'
'-x,y,-z'
'x,-y,z'
'x+1/2,y+1/2,z'
'-x+1/2,-y+1/2,-z'
'-x+1/2,y+1/2,-z'
'x+1/2,-y+1/2,z'
loop_
_atom_site_label
_atom_site_fract_x
_atom_site_fract_y
_atom_site_fract_z
_atom_site_occupancy
Tc1 0.0000 0.0000 0.0000 1
Pt1 0.0000 0.5000 0.5000 1
Pt2 0.2461 0.5000 0.2418 1
```

---

# 2
The following is a simulated PXRD pattern of InTe8P5. It was derived from a PBE-relaxed structure, using a wavelength of 1.5418 Å.

The 10 most intense peaks (2θ = 10–90°), low angle first:
2theta  d/Å  intensity  h k l
25.87  3.445  27.3  2 0 0
26.97  3.307  100.0  1 1 2
30.67  2.915  6.8  2 1 1
36.90  2.436  33.1  2 2 0
46.30  1.961  43.5  3 1 2
48.29  1.885  26.7  2 0 4
53.18  1.722  11.0  4 0 0
60.62  1.527  9.2  3 3 2
73.13  1.294  10.1  5 1 2
74.66  1.271  13.5  4 2 4

Structure:
```
data_InTe8P5
_cell_length_a 6.8890
_cell_length_b 6.8890
_cell_length_c 9.0055
_cell_angle_alpha 90.00
_cell_angle_beta 90.00
_cell_angle_gamma 90.00
_space_group_name_H-M_alt 'P -4 2 m'
_space_group_IT_number 111
loop_
_space_group_symop_operation_xyz
'x,y,z'
'y,-x,-z'
'-x,-y,z'
'-y,x,-z'
'x,-y,-z'
'y,x,z'
'-x,y,-z'
'-y,-x,z'
loop_
_atom_site_label
_atom_site_fract_x
_atom_site_fract_y
_atom_site_fract_z
_atom_site_occupancy
In1 0.0000 0.0000 0.0000 1
Te1 0.2399 0.2399 0.6201 1
Te2 0.2622 0.2622 0.1476 1
P1 0.0000 0.5000 0.2632 1
P2 0.5000 0.5000 0.5000 1
```

---

# 3
The following is a simulated PXRD pattern of In4SnCl5. It was derived from a PBE-relaxed structure, using a wavelength of 1.5418 Å.

The 10 most intense peaks (2θ = 10–90°), low angle first:
2theta  d/Å  intensity  h k l
24.29  3.665  93.0  2 1 1
27.96  3.191  100.0  1 3 0
28.43  3.140  55.5  0 0 2
39.95  2.257  32.4  4 2 0
40.30  2.238  72.1  1 3 2
47.31  1.922  38.7  5 0 1
47.92  1.898  19.1  2 1 3
49.76  1.832  33.3  4 2 2
64.09  1.453  15.6  5 0 3
72.78  1.299  17.0  5 5 2

Structure:
```
data_In4SnCl5
_cell_length_a 10.0921
_cell_length_b 10.0921
_cell_length_c 6.2792
_cell_angle_alpha 90.00
_cell_angle_beta 90.00
_cell_angle_gamma 90.00
_space_group_name_H-M_alt 'I 4'
_space_group_IT_number 79
loop_
_space_group_symop_operation_xyz
'x,y,z'
'-y,x,z'
'-x,-y,z'
'y,-x,z'
'x+1/2,y+1/2,z+1/2'
'-y+1/2,x+1/2,z+1/2'
'-x+1/2,-y+1/2,z+1/2'
'y+1/2,-x+1/2,z+1/2'
loop_
_atom_site_label
_atom_site_fract_x
_atom_site_fract_y
_atom_site_fract_z
_atom_site_occupancy
In1 0.0799 0.3099 0.0000 1
Sn1 0.0000 0.0000 0.5108 1
Cl1 0.0000 0.0000 0.0312 1
Cl2 0.1251 0.2557 0.4989 1
```

---

# 4
The following is a simulated PXRD pattern of Pa3Te7. It was derived from a PBE-relaxed structure, using a wavelength of 1.5418 Å.

The 10 most intense peaks (2θ = 10–90°), low angle first:
2theta  d/Å  intensity  h k l
20.24  4.388  38.1  2 1 1
28.78  3.102  46.6  2 2 2
31.14  2.872  21.3  3 2 1
35.44  2.533  100.0  3 3 0
41.15  2.194  23.0  4 2 2
50.98  1.791  21.8  6 0 0
55.40  1.658  19.4  5 4 1
63.62  1.463  44.7  6 3 3
71.29  1.323  17.5  8 1 1
85.77  1.133  23.8  9 3 0

Structure:
```
data_Pa3Te7
_cell_length_a 10.7473
_cell_length_b 10.7473
_cell_length_c 10.7473
_cell_angle_alpha 90.00
_cell_angle_beta 90.00
_cell_angle_gamma 90.00
_space_group_name_H-M_alt 'I m -3 m'
_space_group_IT_number 229
_space_group_name_Hall '-I 4 2 3'
loop_
_atom_site_label
_atom_site_fract_x
_atom_site_fract_y
_atom_site_fract_z
_atom_site_occupancy
Pa1 0.0000 0.0000 0.3298 1
Te1 0.0000 0.2500 0.5000 1
Te2 0.1675 0.1675 0.1675 1
```

---

# 5
The following is a simulated PXRD pattern of Mn6Fe2Co. It was derived from a PBE-relaxed structure, using a wavelength of 1.5418 Å.

The 6 most intense peaks (2θ = 10–90°), low angle first:
2theta  d/Å  intensity  h k l
42.07  2.148  25.6  1 0 3
46.00  1.973  25.9  0 2 0
48.24  1.886  100.0  3 1 0
64.09  1.453  13.1  1 2 3
76.88  1.240  14.6  4 0 3
86.83  1.122  15.8  3 3 0

Structure:
```
data_Mn6Fe2Co
_cell_length_a 6.5652
_cell_length_b 3.9459
_cell_length_c 7.4361
_cell_angle_alpha 90.00
_cell_angle_beta 100.89
_cell_angle_gamma 90.00
_space_group_name_H-M_alt 'P 1 21/m 1'
_space_group_IT_number 11
loop_
_space_group_symop_operation_xyz
'x,y,z'
'-x,-y,-z'
'-x,y+1/2,-z'
'x,-y+1/2,z'
loop_
_atom_site_label
_atom_site_fract_x
_atom_site_fract_y
_atom_site_fract_z
_atom_site_occupancy
Mn1 0.0553 0.2500 0.2592 1
Mn2 0.0557 0.2500 0.5946 1
Mn3 0.0556 0.2500 0.9240 1
Mn4 0.2806 0.7500 0.9638 1
Mn5 0.3909 0.2500 0.4825 1
Mn6 0.3921 0.2500 0.1480 1
Fe1 0.2779 0.7500 0.6283 1
Fe2 0.3899 0.2500 0.8144 1
Co1 0.2778 0.7500 0.2962 1
```

---

# 6
The following is a simulated PXRD pattern of ZrTl2Fe. It was derived from a PBE-relaxed structure, using a wavelength of 1.5418 Å.

The 10 most intense peaks (2θ = 10–90°), low angle first:
2theta  d/Å  intensity  h k l
20.34  4.366  11.5  0 0 1
27.39  3.256  21.4  1 1 0
31.58  2.833  33.1  2 0 1
34.05  2.633  21.0  4 0 0
36.47  2.463  100.0  1 1 1
37.49  2.399  26.1  2 0 -2
50.89  1.794  13.1  5 1 0
51.54  1.773  13.0  2 0 2
64.90  1.437  16.2  6 0 1
66.98  1.397  16.9  1 1 -3

Structure:
```
data_ZrTl2Fe
_cell_length_a 11.5675
_cell_length_b 3.4240
_cell_length_c 4.7979
_cell_angle_alpha 90.00
_cell_angle_beta 114.42
_cell_angle_gamma 90.00
_space_group_name_H-M_alt 'C 1 m 1'
_space_group_IT_number 8
loop_
_space_group_symop_operation_xyz
'x,y,z'
'x,-y,z'
'x+1/2,y+1/2,z'
'x+1/2,-y+1/2,z'
loop_
_atom_site_label
_atom_site_fract_x
_atom_site_fract_y
_atom_site_fract_z
_atom_site_occupancy
Zr1 0.0000 0.0000 0.0000 1
Tl1 0.0798 0.5000 0.5796 1
Tl2 0.2961 0.5000 0.2965 1
Fe1 0.3069 0.0000 0.8077 1
```